1.
Simulated PXRD pattern of Na5B7C3 for Cu Kα (λ = 1.5418 Å), from DFT lattice parameters and positions (PBE).
Kinematic intensities with the Lorentz-polarization factor, no thermal factor.

Structural model:
a b c (Å): 11.579 11.579 9.994
angles (deg): 107.14 107.14 14.07
Atoms (fractional coordinates):
Na1 0.000 0.000 0.000
Na2 0.100 0.100 0.695
Na3 0.200 0.200 0.400
Na4 0.302 0.302 0.100
Na5 0.399 0.399 0.801
Na6 0.500 0.500 0.494
Na7 0.601 0.601 0.200
Na8 0.702 0.702 0.896
Na9 0.798 0.798 0.602
Na10 0.901 0.901 0.298
B1 0.016 0.016 0.281
B2 0.121 0.121 0.988
B3 0.186 0.186 0.119
B4 0.211 0.211 0.669
B5 0.283 0.283 0.813
B6 0.383 0.383 0.513
B7 0.419 0.419 0.088
B8 0.515 0.515 0.776
B9 0.578 0.578 0.904
B10 0.614 0.614 0.474
B11 0.724 0.724 0.197
B12 0.791 0.791 0.331
B13 0.823 0.823 0.895
B14 0.973 0.973 0.693
C1 0.082 0.082 0.411
C2 0.320 0.320 0.389
C3 0.484 0.484 0.218
C4 0.679 0.679 0.605
C5 0.887 0.887 0.024
C6 0.913 0.913 0.573

Peak list (10 most intense, 2θ from 10° to 90°, in order of rising 2θ)
d_spacing  intensity
2.559  11.1
2.482  17.4
2.197  49.9
2.147  100.0
2.143  38.0
1.622  9.7
1.462  17.0
1.238  12.6
1.206  8.2
1.183  8.2

2.
Simulated PXRD pattern of CaC for Cu Kα (λ = 1.5418 Å), from DFT lattice parameters and positions (PBE).
Kinematic intensities with the Lorentz-polarization factor, no thermal factor.

Structural model:
a b c (Å): 4.030 5.531 6.353
angles (deg): 90.00 90.00 90.00
Atoms (fractional coordinates):
Ca1 0.000 0.000 0.245
Ca2 0.000 0.000 0.755
Ca3 0.500 0.500 0.255
Ca4 0.500 0.500 0.745
C1 0.000 0.379 0.000
C2 0.000 0.621 0.000
C3 0.500 0.121 0.500
C4 0.500 0.879 0.500

Peak list (10 most intense, 2θ from 10° to 90°, in order of rising 2θ)
d_spacing  intensity
3.257  68.0
3.176  26.1
2.765  34.0
2.274  100.0
2.086  26.7
2.015  18.5
1.676  16.7
1.628  11.8
1.483  12.3
1.449  14.8